No. 1
KAlSb4: theoretical powder XRD pattern (copper Kα), based on a DFT-relaxed cell (GGA-PBE, Alexandria).
Kinematic intensities with the Lorentz-polarization factor, no thermal factor.

Structure:
a = 10.5405 Å, b = 4.2790 Å, c = 18.2662 Å
α = 90.00°, β = 90.00°, γ = 90.00°
Space group Pnma (No. 62)
Symmetry-distinct sites (fractional):
1 K 0.1757 0.2500 0.0664 (multiplicity 4)
2 Al 0.1807 0.7500 0.3685 (multiplicity 4)
3 Sb 0.0362 0.2500 0.5496 (multiplicity 4)
4 Sb 0.0702 0.7500 0.7531 (multiplicity 4)
5 Sb 0.1132 0.7500 0.2254 (multiplicity 4)
6 Sb 0.1715 0.7500 0.8996 (multiplicity 4)

Most intense lines, 2θ = 15–90°, by intensity:
h k l, Position (°2θ), I (rel.)
2 1 2, 28.59, 100
2 1 3, 30.63, 97
3 0 1, 25.82, 95
1 1 4, 29.84, 66
2 1 0, 26.84, 65
1 0 3, 16.82, 57
0 2 0, 42.25, 55
0 0 6, 29.34, 49
4 1 2, 41.44, 46
1 1 2, 24.48, 39

***

No. 2
KScAl: theoretical powder XRD pattern (copper Kα), based on a DFT-relaxed cell (GGA-PBE, Alexandria).
Kinematic intensities with the Lorentz-polarization factor, no thermal factor.

Structure:
a = 3.3398 Å, b = 4.4151 Å, c = 13.1677 Å
α = 90.00°, β = 90.00°, γ = 90.00°
Space group Imm2 (No. 44)
Symmetry-distinct sites (fractional):
1 K 0.0000 0.0000 0.0000 (multiplicity 2)
2 Sc 0.0000 0.0000 0.7338 (multiplicity 2)
3 Al 0.0000 0.0000 0.2885 (multiplicity 2)

Most intense lines, 2θ = 15–90°, by intensity:
h k l, Position (°2θ), I (rel.)
1 1 0, 33.67, 100
0 1 3, 28.68, 49
1 1 4, 43.72, 49
0 0 4, 27.09, 48
0 1 1, 21.22, 23
0 2 0, 40.88, 19
0 2 4, 49.73, 15
0 1 7, 52.91, 14
1 2 3, 54.00, 14
1 0 7, 56.12, 12

***

No. 3
KAlSe2: theoretical powder XRD pattern (copper Kα), based on a DFT-relaxed cell (GGA-PBE, Alexandria).
Kinematic intensities with the Lorentz-polarization factor, no thermal factor.

Structure:
a = 6.7377 Å, b = 6.7426 Å, c = 6.8976 Å
α = 90.18°, β = 110.82°, γ = 119.98°
Space group P1 (No. 1)
Symmetry-distinct sites (fractional):
1 K 0.0000 0.0000 0.0000 (multiplicity 1)
2 K 0.4991 0.7473 0.2513 (multiplicity 1)
3 Al 0.0148 0.5527 0.6175 (multiplicity 1)
4 Al 0.4846 0.2873 0.6339 (multiplicity 1)
5 Se 0.0883 0.9389 0.5706 (multiplicity 1)
6 Se 0.4111 0.6004 0.6809 (multiplicity 1)
7 Se 0.6006 0.2913 0.3356 (multiplicity 1)
8 Se 0.8989 0.4426 0.9158 (multiplicity 1)

Most intense lines, 2θ = 15–90°, by intensity:
h k l, Position (°2θ), I (rel.)
1 0 -2, 26.34, 100
1 -2 0, 26.44, 83
2 -1 0, 28.44, 45
1 0 1, 26.03, 40
1 1 -1, 26.73, 38
1 -1 2, 35.54, 37
0 1 0, 15.56, 28
0 1 1, 23.28, 25
0 2 1, 37.44, 24
-2 2 2, 37.72, 24

***

No. 4
KAl4Se7: theoretical powder XRD pattern (copper Kα), based on a DFT-relaxed cell (GGA-PBE, Alexandria).
Kinematic intensities with the Lorentz-polarization factor, no thermal factor.

Structure:
a = 15.7836 Å, b = 6.6933 Å, c = 6.3244 Å
α = 90.00°, β = 90.00°, γ = 90.00°
Space group Pmn2_1 (No. 31)
Symmetry-distinct sites (fractional):
1 K 0.0000 0.1818 0.0000 (multiplicity 2)
2 Al 0.1221 0.6679 0.6061 (multiplicity 4)
3 Al 0.2485 0.1815 0.5859 (multiplicity 4)
4 Se 0.0000 0.8465 0.4740 (multiplicity 2)
5 Se 0.1172 0.6893 0.9843 (multiplicity 4)
6 Se 0.1177 0.3298 0.4843 (multiplicity 4)
7 Se 0.2478 0.1705 0.9772 (multiplicity 4)

Most intense lines, 2θ = 15–90°, by intensity:
h k l, Position (°2θ), I (rel.)
4 1 1, 29.84, 100
0 0 2, 28.22, 54
0 2 1, 30.21, 41
4 1 0, 26.22, 35
4 1 3, 50.97, 35
4 3 0, 46.77, 31
4 3 2, 55.53, 28
0 2 0, 26.64, 27
4 1 2, 38.90, 18
8 0 0, 46.00, 16

***

No. 5
K2UAlSe5: theoretical powder XRD pattern (copper Kα), based on a DFT-relaxed cell (GGA-PBE, Alexandria).
Kinematic intensities with the Lorentz-polarization factor, no thermal factor.

Structure:
a = 4.1422 Å, b = 19.2755 Å, c = 14.3729 Å
α = 90.00°, β = 90.00°, γ = 90.00°
Space group Cmc2_1 (No. 36)
Symmetry-distinct sites (fractional):
1 K 0.0000 0.1112 0.0000 (multiplicity 4)
2 K 0.0000 0.1211 0.6498 (multiplicity 4)
3 U 0.0000 0.2067 0.3495 (multiplicity 4)
4 Al 0.0000 0.4319 0.7431 (multiplicity 4)
5 Se 0.0000 0.0575 0.3445 (multiplicity 4)
6 Se 0.0000 0.2962 0.9768 (multiplicity 4)
7 Se 0.0000 0.3052 0.7132 (multiplicity 4)
8 Se 0.0000 0.3404 0.3293 (multiplicity 4)
9 Se 0.0000 0.4938 0.6076 (multiplicity 4)

Most intense lines, 2θ = 15–90°, by intensity:
h k l, Position (°2θ), I (rel.)
1 1 3, 28.87, 100
0 2 2, 15.38, 52
0 6 1, 28.47, 48
1 7 4, 47.01, 34
1 5 2, 34.13, 27
1 1 5, 38.40, 26
2 6 1, 52.97, 24
2 0 0, 43.72, 23
1 1 1, 22.81, 23
1 5 4, 40.66, 16

***

No. 6
K4Al4Si19: theoretical powder XRD pattern (copper Kα), based on a DFT-relaxed cell (GGA-PBE, Alexandria).
Kinematic intensities with the Lorentz-polarization factor, no thermal factor.

Structure:
a = 10.5357 Å, b = 10.5384 Å, c = 10.5554 Å
α = 89.93°, β = 89.91°, γ = 89.79°
Space group P1 (No. 1)
Symmetry-distinct sites (fractional):
1 K 0.0000 0.0000 0.0000 (multiplicity 1)
2 K 0.0015 0.2558 0.4938 (multiplicity 1)
3 K 0.0041 0.5020 0.9961 (multiplicity 1)
4 K 0.2502 0.7497 0.4996 (multiplicity 1)
5 K 0.4977 0.2501 0.7453 (multiplicity 1)
6 K 0.4998 0.2562 0.2507 (multiplicity 1)
7 K 0.5032 0.7491 0.9973 (multiplicity 1)
8 K 0.7510 0.7479 0.4977 (multiplicity 1)
9 Al 0.0002 0.7515 0.7486 (multiplicity 1)
10 Al 0.0020 0.5582 0.3772 (multiplicity 1)
11 Al 0.2530 0.2495 0.9968 (multiplicity 1)
12 Al 0.3054 0.3719 0.4992 (multiplicity 1)
13 Al 0.4987 0.0002 0.4997 (multiplicity 1)
14 Al 0.4989 0.6317 0.6930 (multiplicity 1)
15 Al 0.8085 0.7517 0.1192 (multiplicity 1)
16 Al 0.8784 0.2506 0.1901 (multiplicity 1)
17 Si 0.0004 0.5543 0.6186 (multiplicity 1)
18 Si 0.9999 0.9480 0.6107 (multiplicity 1)
19 Si 0.0007 0.9498 0.3770 (multiplicity 1)
20 Si 0.0091 0.7596 0.2487 (multiplicity 1)
21 Si 0.1114 0.2473 0.8032 (multiplicity 1)
22 Si 0.1196 0.2488 0.1905 (multiplicity 1)
23 Si 0.1779 0.4340 0.6923 (multiplicity 1)
24 Si 0.1817 0.0657 0.6811 (multiplicity 1)
25 Si 0.1866 0.0689 0.3140 (multiplicity 1)
26 Si 0.1880 0.4314 0.3034 (multiplicity 1)
27 Si 0.1962 0.7545 0.8871 (multiplicity 1)
28 Si 0.1996 0.7542 0.1199 (multiplicity 1)
29 Si 0.3019 0.1311 0.4991 (multiplicity 1)
30 Si 0.3076 0.5677 0.8190 (multiplicity 1)
31 Si 0.3167 0.5641 0.1786 (multiplicity 1)
32 Si 0.3170 0.9360 0.8162 (multiplicity 1)
33 Si 0.3199 0.9363 0.1838 (multiplicity 1)
34 Si 0.3858 0.4477 0.9950 (multiplicity 1)
35 Si 0.3876 0.0529 0.9986 (multiplicity 1)
36 Si 0.4999 0.6278 0.2996 (multiplicity 1)
37 Si 0.5000 0.8635 0.3025 (multiplicity 1)
38 Si 0.5000 0.8718 0.6969 (multiplicity 1)
39 Si 0.5049 0.5029 0.4934 (multiplicity 1)
40 Si 0.6198 0.0547 0.9985 (multiplicity 1)
41 Si 0.6197 0.4450 0.9953 (multiplicity 1)
42 Si 0.6807 0.9391 0.1873 (multiplicity 1)
43 Si 0.6822 0.5601 0.1818 (multiplicity 1)
44 Si 0.6844 0.9338 0.8133 (multiplicity 1)
45 Si 0.6907 0.5671 0.8163 (multiplicity 1)
46 Si 0.6951 0.1377 0.4999 (multiplicity 1)
47 Si 0.6958 0.3734 0.4997 (multiplicity 1)
48 Si 0.7446 0.2492 0.9906 (multiplicity 1)
49 Si 0.8049 0.7518 0.8804 (multiplicity 1)
50 Si 0.8088 0.4374 0.3157 (multiplicity 1)
51 Si 0.8109 0.0643 0.3188 (multiplicity 1)
52 Si 0.8149 0.0652 0.6796 (multiplicity 1)
53 Si 0.8179 0.4363 0.6847 (multiplicity 1)
54 Si 0.8769 0.2481 0.8003 (multiplicity 1)

Most intense lines, 2θ = 15–90°, by intensity:
h k l, Position (°2θ), I (rel.)
3 -1 2, 31.74, 100
2 0 3, 30.56, 45
-2 3 1, 31.81, 33
2 2 -2, 29.33, 31
5 -2 3, 53.60, 28
3 0 -5, 50.50, 23
3 0 5, 50.41, 22
5 2 3, 53.50, 21
0 4 0, 34.01, 20
0 6 0, 52.07, 15